The following is a theoretical XRD peak list of Dy2Cu3SiNi12. It was derived from a cell relaxed with GGA-PBE, using Cu Kα X-rays.

Crystal structure
```
data_Dy2Cu3SiNi12
_chemical_formula_sum 'Dy6 Cu9 Si3 Ni36'
_cell_length_a 5.9377
_cell_length_b 5.9377
_cell_length_c 25.1464
_cell_angle_alpha 90.00
_cell_angle_beta 90.00
_cell_angle_gamma 120.00
_symmetry_space_group_name_H-M 'R -3 m'
_symmetry_Int_Tables_number 166
_symmetry_space_group_name_Hall '-R 3 2"'
loop_
_atom_site_label
_atom_site_fract_x
_atom_site_fract_y
_atom_site_fract_z
Dy1 0.0000 0.0000 0.1507
Cu1 0.0000 0.5000 0.0000
Si1 0.0000 0.0000 0.5000
Ni1 0.0469 0.5235 0.0993
Ni2 0.0735 0.5367 0.6149
```

Top 8 peaks for 10° ≤ 2θ ≤ 90°, sorted by position:
| index | two_theta | I_rel |
| --- | --- | --- |
| 1 1 3 | 32.0 | 100.0 |
| 0 2 1 | 35.1 | 42.0 |
| 1 1 6 | 37.1 | 44.1 |
| 0 2 4 | 37.8 | 69.5 |
| 1 0 10 | 39.9 | 70.7 |
| 2 0 8 | 45.6 | 50.3 |
| 1 2 2 | 47.3 | 51.2 |
| 2 2 0 | 62.6 | 42.2 |